For ErNp2P3, a crystal structure in Alexandria, relaxed with PBE gives the theoretical powder X-ray diffraction pattern in this record (Cu Ka).
Neutral-atom scattering factors, no anomalous dispersion.

Main lines, in order of rising 2θ (2θ = 10–90°):
| d (Å) | intensity |
| --- | --- |
| 6.236 | 2 |
| 3.231 | 100 |
| 2.798 | 95 |
| 1.979 | 70 |
| 1.688 | 49 |
| 1.616 | 25 |
| 1.399 | 12 |
| 1.284 | 20 |
| 1.252 | 32 |
| 1.142 | 25 |

Atomic structure:
Cell: 13.1258 12.5149 6.8549 Å, 79.48 69.62 30.90°
Fractional positions:
Er (0.0417, 0.0417, 0.2083)
Er (0.2083, 0.2083, 0.0417)
Er (0.7917, 0.7917, 0.9583)
Er (0.9583, 0.9583, 0.7917)
Np (0.1245, 0.1245, 0.6255)
Np (0.2911, 0.2911, 0.4589)
Np (0.3745, 0.3745, 0.8755)
Np (0.4589, 0.4589, 0.2911)
Np (0.5411, 0.5411, 0.7089)
Np (0.6255, 0.6255, 0.1245)
Np (0.7089, 0.7089, 0.5411)
Np (0.8755, 0.8755, 0.3745)
P (0.0424, 0.5421, 0.2099)
P (0.1277, 0.6223, 0.6223)
P (0.2099, 0.7056, 0.0424)
P (0.2944, 0.7901, 0.4579)
P (0.3777, 0.8723, 0.8723)
P (0.4579, 0.9576, 0.2944)
P (0.5421, 0.0424, 0.7056)
P (0.6223, 0.1277, 0.1277)
P (0.7056, 0.2099, 0.5421)
P (0.7901, 0.2944, 0.9576)
P (0.8723, 0.3777, 0.3777)
P (0.9576, 0.4579, 0.7901)